Starting from a DFT-relaxed cell (GGA-PBE, the Materials Project), the powder XRD pattern of TaCo was calculated for Cu Kα (weighted mean of Kα1 and Kα2).
Peak positions follow from Bragg's law for the DFT cell and can differ from measured ones.

Structure:
a b c (Å): 3.0684 3.0684 3.0684
angles (deg): 90.00 90.00 90.00
Atoms (fractional coordinates):
Ta (0.0000, 0.0000, 0.0000)
Co (0.5000, 0.5000, 0.5000)

Peak list (6 most intense, 10° ≤ 2θ ≤ 80°, sorted by position)
2θ 29.1, I 30
2θ 41.6, I 100
2θ 51.6, I 9
2θ 60.3, I 17
2θ 68.4, I 12
2θ 76.0, I 33